No. 1
Structure and computed X-ray diffraction stick pattern of CoSbS (a GGA-PBE-relaxed structure; a wavelength of 1.5418 Å).
No peak broadening, texture or thermal motion is included.

Crystal structure
Cell: 3.6443 4.8548 5.8415 Å, 90.00 90.00 90.00°
Fractional positions:
Co 0.0000 0.2168 0.0000
Co 0.5000 0.7832 0.5000
Sb 0.0000 0.4650 0.3729
Sb 0.5000 0.5350 0.8729
S 0.0000 0.0407 0.6375
S 0.5000 0.9593 0.1375

Most intense lines, 2θ from 10° to 90°, most intense first:
| 2θ/deg | intensity |
| --- | --- |
| 34.39 | 100 |
| 47.63 | 59 |
| 35.88 | 57 |
| 30.65 | 57 |
| 18.27 | 34 |
| 53.35 | 28 |
| 28.88 | 26 |
| 50.06 | 22 |
| 63.11 | 21 |
| 56.87 | 19 |

No. 2
Structure and computed X-ray diffraction stick pattern of Bi4I3Br (a GGA-PBE-relaxed structure; a wavelength of 1.5418 Å).
No peak broadening, texture or thermal motion is included.

Crystal structure
Cell: 8.0390 8.0390 20.8511 Å, 90.00 90.00 148.28°
Fractional positions:
Bi 0.0284 0.9716 0.5000
Bi 0.0649 0.9351 0.6460
Bi 0.2579 0.7421 0.2818
Bi 0.2982 0.7018 0.1363
Bi 0.7018 0.2982 0.6363
Bi 0.7421 0.2579 0.7818
Bi 0.9351 0.0649 0.1460
Bi 0.9716 0.0284 0.0000
I 0.1122 0.8878 0.8281
I 0.3795 0.6205 0.7491
I 0.3883 0.6117 0.5242
I 0.6117 0.3883 0.0242
I 0.6205 0.3795 0.2491
I 0.8878 0.1122 0.3281
Br 0.3528 0.6472 0.9641
Br 0.6472 0.3528 0.4641

Most intense lines, 2θ from 10° to 90°, most intense first:
| 2θ/deg | intensity |
| --- | --- |
| 27.00 | 100 |
| 24.25 | 51 |
| 14.26 | 51 |
| 26.66 | 35 |
| 40.56 | 28 |
| 41.08 | 27 |
| 12.21 | 27 |
| 39.60 | 27 |
| 25.63 | 26 |
| 33.38 | 22 |

No. 3
Structure and computed X-ray diffraction stick pattern of MgAl2O4 (a GGA-PBE-relaxed structure; a wavelength of 1.5418 Å).
No peak broadening, texture or thermal motion is included.

Crystal structure
Cell: 2.8206 5.7938 5.7938 Å, 52.88 90.00 90.00°
Fractional positions:
Mg 0.0000 0.0000 0.0000
Al 0.0000 0.7648 0.7648
Al 0.5000 0.2479 0.2479
O 0.0000 0.3822 0.9381
O 0.0000 0.9381 0.3822
O 0.5000 0.0851 0.6432
O 0.5000 0.6432 0.0851

Most intense lines, 2θ from 10° to 90°, most intense first:
| 2θ/deg | intensity |
| --- | --- |
| 17.09 | 100 |
| 19.21 | 80 |
| 49.85 | 68 |
| 37.35 | 57 |
| 45.04 | 43 |
| 36.25 | 40 |
| 51.11 | 37 |
| 58.00 | 29 |
| 64.04 | 27 |
| 87.30 | 22 |